1.
Structure and theoretical powder XRD pattern of PdSe8S8 (a crystal structure in OQMD, relaxed with PBE; CuKα).
Kinematic intensities with the Lorentz-polarization factor, no thermal factor.

Crystal structure
abc: 8.367 8.367 8.367
angles: 60.00 60.00 60.00
Positions (direct):
1 Pd 0.000 0.000 0.000
2 Se 0.166 0.611 0.611
3 Se 0.389 0.389 0.389
4 Se 0.389 0.389 0.834
5 Se 0.389 0.834 0.389
6 Se 0.611 0.166 0.611
7 Se 0.611 0.611 0.166
8 Se 0.611 0.611 0.611
9 Se 0.834 0.389 0.389
10 S 0.198 0.198 0.802
11 S 0.198 0.802 0.198
12 S 0.198 0.802 0.802
13 S 0.250 0.250 0.250
14 S 0.750 0.750 0.750
15 S 0.802 0.198 0.198
16 S 0.802 0.198 0.802
17 S 0.802 0.802 0.198

Peak list (6 most intense, 2θ from 10° to 90°, low angle first)
2θ 15.0, I 49
2θ 25.0, I 88
2θ 39.6, I 100
2θ 43.3, I 85
2θ 56.0, I 22
2θ 84.7, I 30

2.
Structure and theoretical powder XRD pattern of Pd2SeS3 (a crystal structure in OQMD, relaxed with PBE; CuKα).
Kinematic intensities with the Lorentz-polarization factor, no thermal factor.

Crystal structure
abc: 5.889 5.889 7.341
angles: 101.93 101.93 35.28
Positions (direct):
1 Pd 0.000 0.000 0.000
2 Pd 0.537 0.537 0.316
3 Se 0.943 0.943 0.652
4 S 0.100 0.100 0.532
5 S 0.369 0.369 0.043
6 S 0.643 0.643 0.064

Peak list (6 most intense, 2θ from 10° to 90°, low angle first)
2θ 16.2, I 100
2θ 28.3, I 25
2θ 29.9, I 20
2θ 35.2, I 19
2θ 37.7, I 25
2θ 37.7, I 18